Diffraction record for LaPr2GaI3. The PXRD pattern is calculated, not measured: it uses a structure optimized by DFT (GGA-PBE) and Cu Kα (weighted mean of Kα1 and Kα2).
Intensities are scaled so that the largest is 1000.

Largest 10 diffraction maxima, by angle, 2θ = 10–90°:
2θ = 19.82°, rel. 232
2θ = 28.17°, rel. 1000
2θ = 34.68°, rel. 112
2θ = 40.26°, rel. 761
2θ = 49.86°, rel. 272
2θ = 54.17°, rel. 62
2θ = 58.26°, rel. 127
2θ = 65.94°, rel. 349
2θ = 73.19°, rel. 258
2θ = 87.00°, rel. 84

Structure:
a b c (Å): 6.333 6.333 6.340
angles (deg): 90.00 90.00 90.00
Positions (direct):
La: 0.000 0.000 0.000
Pr: 0.000 0.500 0.500
Pr: 0.500 0.000 0.500
Ga: 0.000 0.000 0.500
I: 0.000 0.500 0.000
I: 0.500 0.000 0.000
I: 0.500 0.500 0.500